Calculated powder diffractogram of NaLa2TlTe4 for a wavelength of 1.5418 Å, from a cell relaxed with GGA-PBE.
Peak positions follow from Bragg's law for the DFT cell and can differ from measured ones.

Cell and atoms:
```
data_NaLa2TlTe4
_cell_length_a 8.082
_cell_length_b 4.663
_cell_length_c 8.323
_cell_angle_alpha 90.00
_cell_angle_beta 109.00
_cell_angle_gamma 90.00
_space_group_name_H-M_alt 'P 1 2/m 1'
_space_group_IT_number 10
loop_
_space_group_symop_operation_xyz
'x,y,z'
'-x,-y,-z'
'-x,y,-z'
'x,-y,z'
loop_
_atom_site_label
_atom_site_fract_x
_atom_site_fract_y
_atom_site_fract_z
_atom_site_occupancy
Na1 0.000 0.000 0.000 1
La1 0.000 0.500 0.500 1
La2 0.500 0.000 0.500 1
Tl1 0.500 0.500 0.000 1
Te1 0.241 0.000 0.728 1
Te2 0.253 0.500 0.269 1
```

Peak list (6 most intense, 10° ≤ 2θ ≤ 90°, by angle)
26.7°, 3.334 Å, rel. 100, hkl 1 1 1
37.7°, 2.383 Å, rel. 38, hkl 2 0 2
38.6°, 2.332 Å, rel. 38, hkl 0 2 0
47.6°, 1.911 Å, rel. 21, hkl 4 0 0
55.1°, 1.667 Å, rel. 13, hkl 2 2 2
62.9°, 1.478 Å, rel. 18, hkl 4 2 0

=====

Calculated powder diffractogram of NaLa3Tm3Te8 for a wavelength of 1.5418 Å, from a cell relaxed with GGA-PBE.
Peak positions follow from Bragg's law for the DFT cell and can differ from measured ones.

Cell and atoms:
```
data_NaLa3Tm3Te8
_cell_length_a 8.8422
_cell_length_b 8.8422
_cell_length_c 21.8242
_cell_angle_alpha 90.00
_cell_angle_beta 90.00
_cell_angle_gamma 120.00
_space_group_name_H-M_alt 'R -3 m'
_space_group_IT_number 166
_space_group_name_Hall '-R 3 2"'
loop_
_atom_site_label
_atom_site_fract_x
_atom_site_fract_y
_atom_site_fract_z
_atom_site_occupancy
Na1 0.0000 0.0000 0.0000 1
La1 0.0000 0.5000 0.5000 1
Tm1 0.0000 0.5000 0.0000 1
Te1 0.0000 0.0000 0.2566 1
Te2 0.0159 0.5079 0.2526 1
```

Peak list (6 most intense, 10° ≤ 2θ ≤ 90°, by angle)
28.5°, 3.134 Å, rel. 100, hkl 0 2 4
40.6°, 2.222 Å, rel. 38, hkl 2 0 8
40.8°, 2.211 Å, rel. 37, hkl 2 2 0
50.5°, 1.806 Å, rel. 20, hkl 4 0 4
66.6°, 1.404 Å, rel. 17, hkl 2 2 12
66.9°, 1.399 Å, rel. 17, hkl 2 4 4